No. 1
SrAc2P3Pd12: calculated powder XRD pattern (Cu Kα (λ = 1.5418 Å)), based on a cell relaxed with PBE.

Structural model:
Unit cell a=8.8192 b=8.8192 c=16.4223 alpha=90.00 beta=90.00 gamma=120.00
Space group R-3m (No. 166, hexagonal axes)
Unique sites:
Sr1 0.0000 0.0000 0.0000 x3
Ac1 0.0000 0.0000 0.3923 x6
P1 0.0000 0.5000 0.5000 x9
Pd1 0.0245 0.5123 0.3617 x18
Pd2 0.0519 0.5259 0.8248 x18

Most intense lines, 15 to 90 degrees two-theta, by angle:
2θ (°)	intensity
23.92	35
25.95	22
32.01	70
32.72	16
32.89	52
36.07	58
38.72	18
40.93	100
48.86	14
66.56	22

No. 2
Ac5PmP6: calculated powder XRD pattern (Cu Kα (λ = 1.5418 Å)), based on a cell relaxed with PBE.

Structural model:
Unit cell a=7.621 b=13.200 c=7.619 alpha=90.00 beta=109.50 gamma=90.00
Space group C2/m (No. 12)
Unique sites:
Ac1 0.000 0.000 0.000 x2
Ac2 0.000 0.166 0.500 x4
Ac3 0.000 0.333 0.000 x4
Pm1 0.000 0.500 0.500 x2
P1 0.242 0.500 0.255 x4
P2 0.244 0.338 0.745 x8

Most intense lines, 15 to 90 degrees two-theta, by angle:
2θ (°)	intensity
24.79	100
28.70	97
41.03	75
48.53	53
50.84	27
59.42	13
65.38	22
67.30	35
74.75	26
80.16	17